Ca2YNiO5: simulated XRD peak list (Cu Kα X-rays), based on a DFT-relaxed cell (GGA+U, Alexandria).
Peak positions follow from Bragg's law for the DFT cell and can differ from measured ones.

Atomic structure:
```
Ca2YNiO5
1.0
-8.365 2.828 2.506
8.365 -2.828 2.506
8.365 2.828 -2.506
Ca Y Ni O
4 2 2 10
Direct
0.030 0.098 0.127 Ca
0.030 0.402 0.432 Ca
0.970 0.598 0.568 Ca
0.970 0.902 0.873 Ca
0.469 0.758 0.211 Y
0.548 0.258 0.789 Y
0.499 0.499 0.000 Ni
0.499 0.999 0.500 Ni
0.064 0.743 0.821 O
0.431 0.124 0.561 O
0.431 0.370 0.807 O
0.499 0.233 0.234 O
0.499 0.766 0.767 O
0.562 0.624 0.193 O
0.562 0.870 0.439 O
0.921 0.243 0.179 O
0.999 0.266 0.766 O
0.999 0.733 0.233 O
```

Largest 10 diffraction maxima, low angle first, 2θ = 5–70°:
2theta  intensity
21.24  25
23.72  26
31.64  42
32.05  100
35.84  39
43.26  20
48.55  38
49.92  21
56.62  18
67.03  14